(1)
Starting from DFT lattice parameters and positions (GGA-PBE), the PXRD pattern of Zr4CuH was calculated for λ = 1.5418 Å (Cu Kα).
No peak broadening, texture or thermal motion is included.

Cell and atoms:
```
12
Lattice="-4.223 4.223 3.244 4.223 -4.223 3.244 4.223 4.223 -3.244" Properties=species:S:1:pos:R:3 pbc="T T T"
Zr 2.464 2.111 -0.110
Zr 5.981 2.111 -0.110
Zr 0.000 0.353 1.512
Zr 4.223 0.353 1.732
Zr 0.000 3.870 1.512
Zr 4.223 3.870 1.732
Zr -1.759 2.111 3.354
Zr 1.759 2.111 3.354
Cu 4.223 -2.111 2.433
Cu 0.000 6.334 0.811
H 4.223 2.111 0.811
H 0.000 2.111 2.433
```

Peak list (6 most intense, 2θ = 5–70°, sorted by position)
2θ/deg, d (Å), I_rel
29.9, 2.986, 416
34.7, 2.582, 348
34.9, 2.572, 1000
41.0, 2.203, 289
42.8, 2.111, 294
56.3, 1.633, 434

***

(2)
Starting from DFT lattice parameters and positions (GGA-PBE), the PXRD pattern of Hf7Cu10 was calculated for λ = 1.5418 Å (Cu Kα).
No peak broadening, texture or thermal motion is included.

Cell and atoms:
```
34
Lattice="6.324 -4.622 0.000 6.324 4.622 0.000 0.000 0.000 9.297" Properties=species:S:1:pos:R:3 pbc="T T T"
Hf 0.000 0.000 0.000
Hf 3.162 2.178 2.324
Hf 2.385 0.000 4.649
Hf 6.324 2.875 6.436
Hf 3.939 0.000 0.000
Hf 6.324 1.747 1.787
Hf 3.162 -2.178 6.973
Hf 6.324 0.000 4.649
Hf 9.486 2.178 2.324
Hf 6.324 -1.747 7.510
Hf 8.709 0.000 0.000
Hf 6.324 -2.875 2.862
Hf 10.264 0.000 4.649
Hf 9.486 -2.178 6.973
Cu 4.472 2.735 9.233
Cu 6.324 3.637 3.703
Cu 1.840 0.158 7.390
Cu 4.472 1.886 4.584
Cu 1.840 -0.158 1.907
Cu 4.484 0.158 6.556
Cu 8.176 2.735 9.233
Cu 4.484 -0.158 2.741
Cu 6.324 0.984 8.352
Cu 8.176 1.886 4.584
Cu 4.472 -1.886 4.713
Cu 6.324 -0.984 0.945
Cu 8.165 0.158 6.556
Cu 4.472 -2.735 0.065
Cu 8.165 -0.158 2.741
Cu 10.808 0.158 7.390
Cu 8.176 -1.886 4.713
Cu 10.808 -0.158 1.907
Cu 6.324 -3.637 5.594
Cu 8.176 -2.735 0.065
```

Peak list (6 most intense, 2θ = 5–70°, sorted by position)
2θ/deg, d (Å), I_rel
27.2, 3.277, 388
37.3, 2.411, 549
37.4, 2.403, 571
38.7, 2.324, 300
39.0, 2.311, 253
39.6, 2.276, 1000

***

(3)
Starting from DFT lattice parameters and positions (GGA-PBE), the PXRD pattern of HfCu was calculated for λ = 1.5418 Å (Cu Kα).
No peak broadening, texture or thermal motion is included.

Cell and atoms:
```
6
Lattice="3.240 0.000 0.000 0.000 3.240 0.000 0.000 0.000 9.750" Properties=species:S:1:pos:R:3 pbc="T T T"
Hf 0.000 0.000 0.000
Hf 0.000 0.000 3.338
Hf 1.620 1.620 5.377
Cu 0.000 0.000 6.971
Cu 1.620 1.620 1.607
Cu 1.620 1.620 8.212
```

Peak list (6 most intense, 2θ = 5–70°, sorted by position)
2θ/deg, d (Å), I_rel
29.0, 3.075, 130
33.2, 2.699, 123
39.3, 2.293, 1000
46.6, 1.949, 55
56.8, 1.620, 126
62.5, 1.485, 55